Record 1
The following is a theoretical powder XRD pattern of LiCo2P4H3O16. It was derived from a PBE+U-relaxed structure, using Cu Kα.

Cell and atoms:
Unit cell a=4.960 b=7.574 c=8.217 alpha=89.97 beta=87.88 gamma=77.86
Space group P1 (No. 1)
Inequivalent atoms, fractional coordinates:
Li  0.000  0.000  0.000 (multiplicity 1)
Co  0.096  0.862  0.618 (multiplicity 1)
Co  0.607  0.359  0.129 (multiplicity 1)
P  0.006  0.607  0.968 (multiplicity 1)
P  0.205  0.107  0.286 (multiplicity 1)
P  0.496  0.099  0.791 (multiplicity 1)
P  0.698  0.614  0.462 (multiplicity 1)
H  0.266  0.230  0.595 (multiplicity 1)
H  0.544  0.884  0.166 (multiplicity 1)
H  0.930  0.501  0.664 (multiplicity 1)
O  0.035  0.650  0.785 (multiplicity 1)
O  0.169  0.064  0.467 (multiplicity 1)
O  0.290  0.972  0.809 (multiplicity 1)
O  0.293  0.542  0.038 (multiplicity 1)
O  0.342  0.930  0.186 (multiplicity 1)
O  0.361  0.269  0.690 (multiplicity 1)
O  0.374  0.256  0.272 (multiplicity 1)
O  0.422  0.703  0.550 (multiplicity 1)
O  0.586  0.161  0.953 (multiplicity 1)
O  0.649  0.542  0.296 (multiplicity 1)
O  0.761  0.999  0.696 (multiplicity 1)
O  0.847  0.451  0.982 (multiplicity 1)
O  0.850  0.452  0.567 (multiplicity 1)
O  0.860  0.782  0.055 (multiplicity 1)
O  0.870  0.762  0.449 (multiplicity 1)
O  0.932  0.163  0.199 (multiplicity 1)

Top 6 peaks for 2θ from 15° to 90°, in order of rising 2θ:
16.06°, d 5.520, I = 74
16.18°, d 5.479, I = 63
22.77°, d 3.905, I = 44
23.97°, d 3.712, I = 100
28.99°, d 3.080, I = 81
29.40°, d 3.038, I = 45

=====

Record 2
The following is a theoretical powder XRD pattern of LiCoPHO5. It was derived from a PBE+U-relaxed structure, using Cu Kα.

Cell and atoms:
Unit cell a=5.142 b=5.401 c=7.207 alpha=105.44 beta=109.59 gamma=99.43
Space group P-1 (No. 2)
Inequivalent atoms, fractional coordinates:
Li  0.249  0.393  0.325 (multiplicity 2)
Co  0.500  0.000  0.000 (multiplicity 1)
Co  0.500  0.000  0.500 (multiplicity 1)
P  0.175  0.360  0.733 (multiplicity 2)
H  0.147  0.933  0.162 (multiplicity 2)
O  0.141  0.752  0.434 (multiplicity 2)
O  0.193  0.655  0.847 (multiplicity 2)
O  0.221  0.200  0.886 (multiplicity 2)
O  0.350  0.046  0.232 (multiplicity 2)
O  0.382  0.346  0.620 (multiplicity 2)

Top 6 peaks for 2θ from 15° to 90°, in order of rising 2θ:
17.74°, d 5.000, I = 53
19.08°, d 4.652, I = 62
26.89°, d 3.316, I = 82
27.51°, d 3.242, I = 100
29.65°, d 3.013, I = 89
35.72°, d 2.514, I = 46

=====

Record 3
The following is a theoretical powder XRD pattern of LiCoHSO5. It was derived from a PBE+U-relaxed structure, using Cu Kα.

Cell and atoms:
Unit cell a=9.880 b=5.466 c=7.442 alpha=90.00 beta=110.61 gamma=90.00
Space group P2_1/c (No. 14)
Inequivalent atoms, fractional coordinates:
Li  0.086  0.062  0.310 (multiplicity 4)
Co  0.445  0.235  0.376 (multiplicity 4)
H  0.336  0.501  0.095 (multiplicity 4)
S  0.214  0.558  0.507 (multiplicity 4)
O  0.097  0.082  0.861 (multiplicity 4)
O  0.169  0.685  0.011 (multiplicity 4)
O  0.243  0.057  0.200 (multiplicity 4)
O  0.350  0.550  0.460 (multiplicity 4)
O  0.434  0.067  0.630 (multiplicity 4)

Top 6 peaks for 2θ from 15° to 90°, in order of rising 2θ:
20.65°, d 4.300, I = 45
25.23°, d 3.530, I = 42
29.02°, d 3.077, I = 100
30.43°, d 2.937, I = 44
31.28°, d 2.859, I = 67
33.37°, d 2.685, I = 44

=====

Question: What is the formula in the second record?
Answer: LiCoPHO5